(1)
For Dy4Y8Er3, a structure optimized by DFT (GGA-PBE) gives the simulated X-ray diffraction stick pattern in this record (Cu Kα).
Intensities are scaled so that the largest is 100.

Crystal structure
abc: 6.9329 6.9329 35.1608
angles: 90.00 90.00 120.00
Space group R-3m (No. 166, hexagonal axes)
One atom of each set of equivalent atoms:
Dy (0.0000, 0.0000, 0.0000)
Dy (0.0000, 0.0000, 0.1640)
Dy (0.0000, 0.0000, 0.5000)
Y (0.0000, 0.0000, 0.2551)
Y (0.0014, 0.5007, 0.2502)
Er (0.0000, 0.5000, 0.0000)

Top 10 peaks for 10 to 90 degrees two-theta, in order of rising 2θ:
2θ (°)  I/Imax
26.82  35
29.91  54
30.51  66
31.49  100
34.59  24
34.82  22
36.24  74
51.54  22
52.82  43
62.23  51

(2)
For CrCoIrRh, a structure optimized by DFT (GGA-PBE) gives the simulated X-ray diffraction stick pattern in this record (Cu Kα).
Intensities are scaled so that the largest is 100.

Crystal structure
abc: 3.9769 2.6360 9.9573
angles: 90.00 90.00 90.00
Space group Amm2 (No. 38)
One atom of each set of equivalent atoms:
Cr (0.0000, 0.0000, 0.0000)
Co (0.0000, 0.0000, 0.7567)
Ir (0.5000, 0.0000, 0.3539)
Rh (0.5000, 0.0000, 0.6132)

Top 10 peaks for 10 to 90 degrees two-theta, in order of rising 2θ:
2θ (°)  I/Imax
17.82  21
22.36  48
35.22  19
42.12  100
42.86  89
43.86  42
45.62  40
49.77  31
65.14  25
87.20  23

(3)
For PmSm4Cd2, a structure optimized by DFT (GGA-PBE) gives the simulated X-ray diffraction stick pattern in this record (Cu Kα).
Intensities are scaled so that the largest is 100.

Crystal structure
abc: 5.1713 5.1713 31.4624
angles: 90.00 90.00 120.00
Space group R-3m (No. 166, hexagonal axes)
One atom of each set of equivalent atoms:
Pm (0.0000, 0.0000, 0.0000)
Sm (0.0000, 0.0000, 0.2025)
Sm (0.0000, 0.0000, 0.3918)
Cd (0.0000, 0.0000, 0.0999)

Top 10 peaks for 10 to 90 degrees two-theta, in order of rising 2θ:
2θ (°)  I/Imax
20.03  15
24.40  66
34.69  100
34.85  90
42.87  15
49.99  32
56.28  14
62.18  18
62.29  33
83.71  14

(4)
For LiGe3Pt4, a structure optimized by DFT (GGA-PBE) gives the simulated X-ray diffraction stick pattern in this record (Cu Kα).
Intensities are scaled so that the largest is 100.

Crystal structure
abc: 7.2536 6.3686 6.8298
angles: 90.00 90.00 90.00
Space group Pmn2_1 (No. 31)
One atom of each set of equivalent atoms:
Li (0.0000, 0.1301, 0.0000)
Ge (0.0000, 0.7730, 0.3290)
Ge (0.2252, 0.6380, 0.8153)
Pt (0.0000, 0.1543, 0.3721)
Pt (0.0000, 0.8842, 0.6863)
Pt (0.2029, 0.2853, 0.6854)

Top 10 peaks for 10 to 90 degrees two-theta, in order of rising 2θ:
2θ (°)  I/Imax
17.84  100
19.05  52
26.09  73
28.02  49
28.32  73
31.26  88
39.91  46
40.69  45
41.58  42
48.28  51

(5)
For LiInP, a structure optimized by DFT (GGA-PBE) gives the simulated X-ray diffraction stick pattern in this record (Cu Kα).
Intensities are scaled so that the largest is 100.

Crystal structure
abc: 4.1008 4.1008 8.8070
angles: 90.00 90.00 120.00
Space group P-3m1 (No. 164)
One atom of each set of equivalent atoms:
Li (0.3333, 0.6667, 0.4082)
In (0.0000, 0.0000, 0.1602)
P (0.3333, 0.6667, 0.7025)

Top 10 peaks for 10 to 90 degrees two-theta, in order of rising 2θ:
2θ (°)  I/Imax
10.04  59
20.17  33
25.07  98
27.07  90
39.84  100
44.17  51
48.66  22
54.60  20
60.98  27
78.32  26

(6)
For ScAgSnOs, a structure optimized by DFT (GGA-PBE) gives the simulated X-ray diffraction stick pattern in this record (Cu Kα).
Intensities are scaled so that the largest is 100.

Crystal structure
abc: 6.5911 6.6139 6.6329
angles: 90.00 90.00 90.00
Space group F222 (No. 22)
One atom of each set of equivalent atoms:
Sc (0.0000, 0.0000, 0.0000)
Ag (0.2500, 0.2500, 0.2500)
Sn (0.0000, 0.0000, 0.5000)
Os (0.2500, 0.2500, 0.7500)

Top 10 peaks for 10 to 90 degrees two-theta, in order of rising 2θ:
2θ (°)  I/Imax
23.30  18
26.92  10
38.48  100
38.57  50
55.41  9
55.58  9
55.79  8
69.54  17
69.65  17
69.79  17